Computed X-ray diffraction stick pattern of Er12Pd6Pb for Cu Ka, from a DFT-relaxed cell (PBE, Alexandria).
Neutral-atom scattering factors, no anomalous dispersion.

Peak list (10 most intense, 10 to 80 degrees two-theta, by intensity)
2theta	Rel. int.	h k l
28.3	100	1 3 1
33.7	92	4 1 0
33.3	61	4 -1 2
30.1	46	0 0 3
32.7	44	2 -1 3
33.6	43	5 -2 1
27.9	40	3 -2 2
38.3	37	0 5 1
45.8	34	5 -1 3
37.5	30	0 3 3

Structure:
Unit cell a=14.0591 b=14.0591 c=8.9076 alpha=90.00 beta=90.00 gamma=120.00
Space group R-3 (No. 148, hexagonal axes)
Asymmetric unit:
Er (0.0395, 0.7841, 0.4267) [18 per cell]
Er (0.0589, 0.8813, 0.8260) [18 per cell]
Pd (0.0718, 0.5713, 0.7814) [18 per cell]
Pb (0.0000, 0.0000, 0.5000) [3 per cell]

Computed X-ray diffraction stick pattern of YBiIO6 for Cu Ka, from a DFT-relaxed cell (PBE, Alexandria).
Neutral-atom scattering factors, no anomalous dispersion.

Peak list (10 most intense, 10 to 80 degrees two-theta, by intensity)
2theta	Rel. int.	h k l
25.7	100	1 0 2
31.5	42	1 1 0
49.3	37	1 1 4
41.1	29	2 0 2
52.7	28	2 1 2
56.0	14	3 0 0
71.8	12	4 -1 2
60.0	9	1 0 6
77.8	9	4 -2 4
78.1	9	3 -1 6

Structure:
Unit cell a=5.6843 b=5.6843 c=9.7383 alpha=90.00 beta=90.00 gamma=120.00
Space group P-31c (No. 163)
Asymmetric unit:
Y (0.3333, 0.6667, 0.2500) [2 per cell]
Bi (0.0000, 0.0000, 0.0000) [2 per cell]
I (0.3333, 0.6667, 0.7500) [2 per cell]
O (0.0354, 0.3708, 0.6355) [12 per cell]

Computed X-ray diffraction stick pattern of Pm7ScPb4 for Cu Ka, from a DFT-relaxed cell (PBE, Alexandria).
Neutral-atom scattering factors, no anomalous dispersion.

Peak list (10 most intense, 10 to 80 degrees two-theta, by intensity)
2theta	Rel. int.	h k l
30.5	100	0 2 0
32.7	87	3 1 1
27.6	70	4 0 -3
35.6	54	5 1 -1
35.2	49	5 1 -3
41.5	47	4 2 -3
29.3	43	1 1 2
16.7	38	2 0 -2
39.9	31	1 1 -4
46.5	30	2 2 -4

Structure:
Unit cell a=14.8263 b=5.8691 c=10.8123 alpha=90.00 beta=124.62 gamma=90.00
Space group C2/m (No. 12)
Asymmetric unit:
Pm (0.0000, 0.0000, 0.0000) [2 per cell]
Pm (0.0574, 0.5000, 0.3752) [4 per cell]
Pm (0.2050, 0.5000, 0.8924) [4 per cell]
Pm (0.2114, 0.0000, 0.6442) [4 per cell]
Sc (0.0000, 0.5000, 0.0000) [2 per cell]
Pb (0.0622, 0.0000, 0.7542) [4 per cell]
Pb (0.1975, 0.0000, 0.3300) [4 per cell]

Computed X-ray diffraction stick pattern of LaTh2Ni9 for Cu Ka, from a DFT-relaxed cell (PBE, Alexandria).
Neutral-atom scattering factors, no anomalous dispersion.

Peak list (10 most intense, 10 to 80 degrees two-theta, by intensity)
2theta	Rel. int.	h k l
33.8	100	1 0 5
41.9	85	1 1 4
35.6	66	1 1 0
44.6	36	2 0 3
41.7	34	2 0 1
62.8	34	2 1 5
43.3	25	1 0 7
75.4	23	2 2 0
10.6	22	0 0 2
67.4	21	1 1 10

Structure:
Unit cell a=5.0414 b=5.0414 c=16.6615 alpha=90.00 beta=90.00 gamma=120.00
Space group P6_3/mmc (No. 194)
Asymmetric unit:
La (0.3333, 0.6667, 0.2500) [2 per cell]
Th (0.3333, 0.6667, 0.0451) [4 per cell]
Ni (0.0000, 0.0000, 0.0000) [2 per cell]
Ni (0.0000, 0.0000, 0.2500) [2 per cell]
Ni (0.1672, 0.3343, 0.6263) [12 per cell]
Ni (0.3333, 0.6667, 0.7500) [2 per cell]

Computed X-ray diffraction stick pattern of Ca4Bi7Pb5 for Cu Ka, from a DFT-relaxed cell (PBE, Alexandria).
Neutral-atom scattering factors, no anomalous dispersion.

Peak list (10 most intense, 10 to 80 degrees two-theta, by intensity)
2theta	Rel. int.	h k l
31.1	100	2 0 4
37.9	30	2 2 0
50.6	26	2 2 8
64.2	26	4 2 4
32.2	23	0 0 8
56.8	17	2 0 12
20.3	17	1 1 2
64.9	12	4 0 8
54.7	10	4 0 0
16.0	7	0 0 4

Structure:
Unit cell a=6.7172 b=6.7172 c=22.2119 alpha=90.00 beta=90.00 gamma=90.00
Space group I-42m (No. 121)
Asymmetric unit:
Ca (0.2411, 0.2411, 0.3814) [8 per cell]
Bi (0.0000, 0.0000, 0.5000) [2 per cell]
Bi (0.0000, 0.5000, 0.0000) [4 per cell]
Bi (0.2405, 0.2405, 0.1309) [8 per cell]
Pb (0.0000, 0.0000, 0.0000) [2 per cell]
Pb (0.0000, 0.0000, 0.2483) [4 per cell]
Pb (0.0000, 0.5000, 0.2500) [4 per cell]

Computed X-ray diffraction stick pattern of Tb10Nd4Y for Cu Ka, from a DFT-relaxed cell (PBE, Alexandria).
Neutral-atom scattering factors, no anomalous dispersion.

Peak list (10 most intense, 10 to 80 degrees two-theta, by intensity)
2theta	Rel. int.	h k l
30.9	100	2 1 3
28.9	67	3 1 0
32.8	39	3 1 2
24.8	24	1 0 3
11.8	24	1 0 1
56.1	22	1 3 6
33.9	21	2 3 1
44.2	21	2 4 2
41.3	20	4 2 0
36.0	19	2 0 4

Structure:
Unit cell a=9.7848 b=9.7848 c=11.6027 alpha=90.00 beta=90.00 gamma=90.00
Space group I4/m (No. 87)
Asymmetric unit:
Tb (0.0000, 0.5000, 0.2500) [4 per cell]
Tb (0.1188, 0.2278, 0.1619) [16 per cell]
Nd (0.0700, 0.3239, 0.5000) [8 per cell]
Y (0.0000, 0.0000, 0.0000) [2 per cell]

Which formula does entry 1 have?
Er12Pd6Pb